Record 1
Starting from the GGA-PBE geometry in Alexandria, the X-ray diffraction stick pattern of CaOs4 was computed for Cu Kα X-rays.
Lines closer than 0.1° are merged.

Main lines, sorted by position (10 to 80 degrees two-theta):
d/Å	2θ/deg	intensity	index
4.512	19.67	1	1 0 0
3.191	27.96	1	1 1 0
2.605	34.42	100	1 1 1
2.256	39.96	63	2 0 0
1.595	57.79	43	2 2 0
1.361	69.03	41	3 1 1
1.303	72.57	15	2 2 2

Crystal structure
```
data_CaOs4
_chemical_formula_sum 'Ca1 Os4'
_cell_length_a 4.512
_cell_length_b 4.512
_cell_length_c 4.512
_cell_angle_alpha 90.00
_cell_angle_beta 90.00
_cell_angle_gamma 90.00
_symmetry_space_group_name_H-M 'P m -3 m'
_symmetry_Int_Tables_number 221
_symmetry_space_group_name_Hall '-P 4 2 3'
loop_
_atom_site_label
_atom_site_fract_x
_atom_site_fract_y
_atom_site_fract_z
Ca1 0.000 0.000 0.000
Os1 0.000 0.000 0.500
Os2 0.500 0.500 0.500
```


Record 2
Starting from the GGA-PBE geometry in Alexandria, the X-ray diffraction stick pattern of Ca5Os4 was computed for Cu Kα X-rays.
Lines closer than 0.1° are merged.

Main lines, sorted by position (10 to 80 degrees two-theta):
d/Å	2θ/deg	intensity	index
7.463	11.86	100	1 0 0
3.509	25.38	35	1 1 1
2.556	35.11	47	2 1 1
2.488	36.11	37	3 0 0
2.475	36.30	50	1 1 2
2.349	38.32	14	2 0 2
2.070	43.73	11	3 1 0
2.062	43.90	18	2 1 2
1.866	48.81	16	4 0 0
1.754	52.13	16	2 2 2
1.647	55.81	16	3 2 1
1.640	56.08	12	2 1 3

Crystal structure
```
data_Ca5Os4
_chemical_formula_sum 'Ca10 Os8'
_cell_length_a 8.6173
_cell_length_b 8.6173
_cell_length_c 6.0464
_cell_angle_alpha 90.00
_cell_angle_beta 90.00
_cell_angle_gamma 120.00
_symmetry_space_group_name_H-M 'P 63/m c m'
_symmetry_Int_Tables_number 193
_symmetry_space_group_name_Hall '-P 6c 2'
loop_
_atom_site_label
_atom_site_fract_x
_atom_site_fract_y
_atom_site_fract_z
Ca1 0.0000 0.3500 0.2500
Ca2 0.3333 0.6667 0.0000
Os1 0.0000 0.0000 0.0000
Os2 0.0000 0.2620 0.7500
```


Record 3
Starting from the GGA-PBE geometry in Alexandria, the X-ray diffraction stick pattern of CaOs was computed for Cu Kα X-rays.
Lines closer than 0.1° are merged.

Main lines, sorted by position (10 to 80 degrees two-theta):
d/Å	2θ/deg	intensity	index
5.305	16.71	100	2 0 0
3.751	23.72	19	2 2 0
2.700	33.18	31	3 0 1
2.653	33.79	15	4 0 0
2.406	37.37	26	3 2 1
2.372	37.92	11	4 2 0
2.090	43.29	9	0 0 2
1.944	46.72	15	2 0 2
1.892	48.09	23	5 0 1
1.782	51.26	11	5 2 1
1.425	65.51	10	7 0 1
1.376	68.14	10	7 2 1

Crystal structure
```
data_CaOs
_chemical_formula_sum 'Ca8 Os8'
_cell_length_a 10.610
_cell_length_b 10.610
_cell_length_c 4.180
_cell_angle_alpha 90.00
_cell_angle_beta 90.00
_cell_angle_gamma 90.00
_symmetry_space_group_name_H-M 'I 4/m m m'
_symmetry_Int_Tables_number 139
_symmetry_space_group_name_Hall '-I 4 2'
loop_
_atom_site_label
_atom_site_fract_x
_atom_site_fract_y
_atom_site_fract_z
Ca1 0.000 0.278 0.000
Os1 0.214 0.214 0.500
```


Record 4
Starting from the GGA-PBE geometry in Alexandria, the X-ray diffraction stick pattern of Ca2OsPb was computed for Cu Kα X-rays.
Lines closer than 0.1° are merged.

Main lines, sorted by position (10 to 80 degrees two-theta):
d/Å	2θ/deg	intensity	index
4.586	19.36	45	0 0 2
3.287	27.13	37	1 0 0
2.672	33.54	100	1 0 2
2.325	38.74	36	1 1 0
2.293	39.30	14	0 0 4
2.073	43.66	24	1 1 2
1.881	48.40	23	1 0 4
1.644	55.94	12	2 0 0
1.632	56.36	19	1 1 4
1.400	66.83	27	2 1 2
1.336	70.49	10	2 0 4
1.238	77.06	12	2 1 4

Crystal structure
```
data_Ca2OsPb
_chemical_formula_sum 'Ca2 Os1 Pb1'
_cell_length_a 3.287
_cell_length_b 3.287
_cell_length_c 9.171
_cell_angle_alpha 90.00
_cell_angle_beta 90.00
_cell_angle_gamma 90.00
_symmetry_space_group_name_H-M 'P 4/m m m'
_symmetry_Int_Tables_number 123
_symmetry_space_group_name_Hall '-P 4 2'
loop_
_atom_site_label
_atom_site_fract_x
_atom_site_fract_y
_atom_site_fract_z
Ca1 0.000 0.000 0.202
Os1 0.500 0.500 0.000
Pb1 0.500 0.500 0.500
```


Record 5
Starting from the GGA-PBE geometry in Alexandria, the X-ray diffraction stick pattern of CaOsPt was computed for Cu Kα X-rays.
Lines closer than 0.1° are merged.

Main lines, sorted by position (10 to 80 degrees two-theta):
d/Å	2θ/deg	intensity	index
6.569	13.48	73	0 0 2
2.790	32.08	12	1 0 1
2.391	37.61	100	1 0 3
2.190	41.23	15	0 0 6
2.019	44.90	33	1 1 0
1.932	47.04	39	1 0 5
1.642	56.00	5	0 0 8
1.484	62.59	18	1 1 6
1.427	65.38	11	2 0 0
1.300	72.76	8	1 0 9
1.274	74.48	9	1 1 8
1.226	77.95	24	2 1 3

Crystal structure
```
data_CaOsPt
_chemical_formula_sum 'Ca2 Os2 Pt2'
_cell_length_a 2.855
_cell_length_b 2.855
_cell_length_c 13.138
_cell_angle_alpha 90.00
_cell_angle_beta 90.00
_cell_angle_gamma 90.00
_symmetry_space_group_name_H-M 'I 4 m m'
_symmetry_Int_Tables_number 107
_symmetry_space_group_name_Hall 'I 4 -2'
loop_
_atom_site_label
_atom_site_fract_x
_atom_site_fract_y
_atom_site_fract_z
Ca1 0.000 0.000 0.000
Os1 0.000 0.000 0.680
Pt1 0.000 0.000 0.317
```


Record 6
Starting from the GGA-PBE geometry in Alexandria, the X-ray diffraction stick pattern of CaOsRu2 was computed for Cu Kα X-rays.
Lines closer than 0.1° are merged.

Main lines, sorted by position (10 to 80 degrees two-theta):
d/Å	2θ/deg	intensity	index
4.770	18.60	42	2 0 0
4.395	20.21	55	0 0 1
2.425	37.07	85	2 0 -2
2.385	37.72	63	4 0 0
2.197	41.08	34	0 0 2
2.182	41.38	93	1 1 1
2.146	42.12	100	3 1 -1
2.125	42.55	31	4 0 -2
2.104	43.00	24	3 1 0
1.400	66.84	25	3 1 -3
1.343	70.06	17	5 1 1
1.226	77.91	22	1 1 3

Crystal structure
```
data_CaOsRu2
_chemical_formula_sum 'Ca2 Os2 Ru4'
_cell_length_a 10.528
_cell_length_b 2.805
_cell_length_c 4.850
_cell_angle_alpha 90.00
_cell_angle_beta 115.02
_cell_angle_gamma 90.00
_symmetry_space_group_name_H-M 'C 1 m 1'
_symmetry_Int_Tables_number 8
loop_
_symmetry_equiv_pos_as_xyz
'x,y,z'
'x,-y,z'
'x+1/2,y+1/2,z'
'x+1/2,-y+1/2,z'
loop_
_atom_site_label
_atom_site_fract_x
_atom_site_fract_y
_atom_site_fract_z
Ca1 0.000 0.000 0.000
Os1 0.227 0.000 0.602
Ru1 0.001 0.500 0.519
Ru2 0.276 0.500 0.173
```